# 1
Simulated powder X-ray diffraction pattern
Compound: RbLi3Zn4Cl12
Radiation: Cu Kα X-rays
Structure: the PBE geometry in Alexandria

Top 8 peaks for 2θ from 15° to 90°, by angle:
| 2θ (°) | I/Imax |
| --- | --- |
| 17.4 | 35 |
| 21.7 | 38 |
| 23.5 | 100 |
| 26.9 | 57 |
| 27.3 | 65 |
| 28.5 | 55 |
| 42.1 | 42 |
| 57.2 | 43 |

Crystal structure
```
RbLi3Zn4Cl12
1.0
6.894 3.980 3.261
-6.894 3.980 3.261
0.000 -7.960 3.261
Rb Li Zn Cl
1 3 4 12
Direct
0.000 0.000 0.000
0.000 0.560 0.440
0.440 0.000 0.560
0.560 0.440 0.000
0.064 0.500 0.936
0.500 0.500 0.500
0.500 0.936 0.064
0.936 0.064 0.500
0.056 0.652 0.767
0.097 0.903 0.500
0.233 0.348 0.944
0.340 0.660 0.500
0.348 0.944 0.233
0.500 0.097 0.903
0.500 0.340 0.660
0.652 0.767 0.056
0.660 0.500 0.340
0.767 0.056 0.652
0.903 0.500 0.097
0.944 0.233 0.348
```

---

# 2
Simulated powder X-ray diffraction pattern
Compound: CuTc4Te
Radiation: Cu Kα X-rays
Structure: the PBE geometry in Alexandria

Top 8 peaks for 2θ from 15° to 90°, by angle:
| 2θ (°) | I/Imax |
| --- | --- |
| 20.9 | 10 |
| 34.4 | 26 |
| 40.6 | 100 |
| 42.5 | 42 |
| 65.9 | 31 |
| 72.6 | 26 |
| 86.6 | 11 |
| 87.9 | 15 |

Crystal structure
```
CuTc4Te
1.0
0.000 3.684 3.684
3.684 0.000 3.684
3.684 3.684 0.000
Cu Tc Te
1 4 1
Direct
0.000 0.000 0.000
0.124 0.625 0.625
0.625 0.124 0.625
0.625 0.625 0.124
0.625 0.625 0.625
0.250 0.250 0.250
```

---

# 3
Simulated powder X-ray diffraction pattern
Compound: TbPr4Sm
Radiation: Cu Kα X-rays
Structure: the PBE geometry in Alexandria

Top 8 peaks for 2θ from 15° to 90°, by angle:
| 2θ (°) | I/Imax |
| --- | --- |
| 29.7 | 100 |
| 34.4 | 34 |
| 34.5 | 17 |
| 49.6 | 36 |
| 58.8 | 29 |
| 58.9 | 14 |
| 61.8 | 12 |
| 80.4 | 12 |

Crystal structure
```
TbPr4Sm
1.0
5.211 0.000 0.000
0.000 15.585 0.000
0.000 0.000 5.203
Tb Pr Sm
2 8 2
Direct
0.000 0.000 0.000
0.500 0.500 0.000
0.000 0.165 0.500
0.000 0.335 0.000
0.000 0.665 0.000
0.000 0.835 0.500
0.500 0.165 0.000
0.500 0.335 0.500
0.500 0.665 0.500
0.500 0.835 0.000
0.000 0.500 0.500
0.500 0.000 0.500
```

---

# 4
Simulated powder X-ray diffraction pattern
Compound: Ba2MgNi
Radiation: Cu Kα X-rays
Structure: the PBE geometry in Alexandria

Top 8 peaks for 2θ from 15° to 90°, by angle:
| 2θ (°) | I/Imax |
| --- | --- |
| 23.2 | 72 |
| 27.3 | 100 |
| 27.5 | 81 |
| 33.5 | 49 |
| 37.4 | 27 |
| 38.1 | 25 |
| 47.6 | 35 |
| 60.4 | 27 |

Crystal structure
```
Ba2MgNi
1.0
4.727 0.000 0.000
0.000 4.808 0.000
0.000 0.000 13.162
Ba Mg Ni
4 2 2
Direct
0.000 0.000 0.000
0.000 0.500 0.500
0.500 0.000 0.273
0.500 0.500 0.773
0.000 0.000 0.692
0.000 0.500 0.192
0.500 0.000 0.603
0.500 0.500 0.103
```

---

# 5
Simulated powder X-ray diffraction pattern
Compound: Cu4Pt5
Radiation: Cu Kα X-rays
Structure: the PBE geometry in Alexandria

Top 8 peaks for 2θ from 15° to 90°, by angle:
| 2θ (°) | I/Imax |
| --- | --- |
| 15.3 | 19 |
| 40.6 | 100 |
| 40.7 | 98 |
| 46.9 | 36 |
| 47.1 | 33 |
| 47.8 | 31 |
| 69.4 | 20 |
| 83.0 | 31 |

Crystal structure
```
Cu4Pt5
1.0
4.722 0.000 0.000
0.766 4.672 0.000
0.722 1.437 5.810
Cu Pt
4 5
Direct
0.000 0.000 0.000
0.109 0.549 0.787
0.225 0.111 0.568
0.674 0.328 0.677
0.336 0.658 0.351
0.446 0.221 0.110
0.546 0.780 0.892
0.788 0.884 0.463
0.895 0.440 0.230
```

---

# 6
Simulated powder X-ray diffraction pattern
Compound: Nd14DyY
Radiation: Cu Kα X-rays
Structure: the PBE geometry in Alexandria

Top 8 peaks for 2θ from 15° to 90°, by angle:
| 2θ (°) | I/Imax |
| --- | --- |
| 29.8 | 100 |
| 34.6 | 51 |
| 49.7 | 36 |
| 59.1 | 43 |
| 62.0 | 12 |
| 80.8 | 18 |
| 83.3 | 11 |
| 83.4 | 5 |

Crystal structure
```
Nd14DyY
1.0
7.337 0.000 0.000
0.000 7.337 0.000
0.000 0.000 10.362
Nd Dy Y
14 1 1
Direct
0.000 0.000 0.000
0.000 0.500 0.000
0.000 0.500 0.500
0.250 0.250 0.252
0.250 0.250 0.748
0.250 0.750 0.252
0.250 0.750 0.748
0.500 0.000 0.000
0.500 0.000 0.500
0.500 0.500 0.000
0.750 0.250 0.252
0.750 0.250 0.748
0.750 0.750 0.252
0.750 0.750 0.748
0.000 0.000 0.500
0.500 0.500 0.500
```